Theoretical powder diffractogram of NaTiAsO5 for Cu Kα, 1.54184 Å, from a structure optimized by DFT (PBE).
Peak positions follow from Bragg's law for the DFT cell and can differ from measured ones.

Crystal structure
```
data_NaTiAsO5
_chemical_formula_sum 'Na4 Ti4 As4 O20'
_cell_length_a 6.852
_cell_length_b 8.896
_cell_length_c 7.322
_cell_angle_alpha 90.00
_cell_angle_beta 114.92
_cell_angle_gamma 90.00
_space_group_name_H-M_alt 'P 1 21/c 1'
_space_group_IT_number 14
_space_group_name_Hall '-P 2ybc'
loop_
_atom_site_label
_atom_site_type_symbol
_atom_site_fract_x
_atom_site_fract_y
_atom_site_fract_z
Na1 Na 0.248 0.073 0.237
Ti1 Ti 0.252 0.743 0.981
As1 As 0.250 0.068 0.748
O1 O 0.055 0.185 0.584
O2 O 0.154 0.540 0.389
O3 O 0.251 0.688 0.752
O4 O 0.352 0.537 0.112
O5 O 0.437 0.190 0.911
```

Top 10 peaks for 2θ = 10–90°, sorted by position:
| Position (°2θ) | I_rel |
| --- | --- |
| 17.9 | 85 |
| 24.1 | 37 |
| 25.4 | 48 |
| 26.5 | 100 |
| 28.7 | 95 |
| 33.5 | 88 |
| 33.7 | 58 |
| 54.0 | 35 |
| 57.7 | 33 |
| 60.0 | 25 |